The following is a simulated X-ray powder pattern of Cu7Pd3Au2. It was derived from a structure optimized by DFT (GGA-PBE), using Cu Kα.
Neutral-atom scattering factors, no anomalous dispersion.

Crystal structure
```
data_Cu7Pd3Au2
_cell_length_a 4.256
_cell_length_b 2.746
_cell_length_c 15.010
_cell_angle_alpha 90.00
_cell_angle_beta 90.40
_cell_angle_gamma 90.00
_symmetry_space_group_name_H-M 'P 1 2/m 1'
_symmetry_Int_Tables_number 10
_symmetry_space_group_name_Hall '-P 2y'
loop_
_atom_site_label
_atom_site_type_symbol
_atom_site_fract_x
_atom_site_fract_y
_atom_site_fract_z
_atom_site_occupancy
Cu1 Cu 0.000 0.000 0.000 1
Cu2 Cu 0.133 0.500 0.855 1
Cu3 Cu 0.250 0.500 0.459 1
Cu4 Cu 0.369 0.000 0.142 1
Pd1 Pd 0.251 0.000 0.613 1
Pd2 Pd 0.500 0.500 0.000 1
Au1 Au 0.245 0.500 0.286 1
```

Most intense lines, 15 to 90 degrees two-theta, sorted by position:
(1 0 1), 2θ = 21.72°, I = 40.0; (1 0 -3), 2θ = 27.42°, I = 26.5; (1 1 1), 2θ = 39.53°, I = 38.2; (0 1 4), 2θ = 40.72°, I = 33.3; (1 1 -2), 2θ = 40.90°, I = 100.0; (1 0 -6), 2θ = 41.76°, I = 28.5; (1 0 6), 2θ = 42.02°, I = 23.2; (0 0 7), 2θ = 42.14°, I = 32.3; (2 0 1), 2θ = 42.96°, I = 30.4; (0 1 5), 2θ = 44.73°, I = 24.0; (1 1 4), 2θ = 46.27°, I = 24.5; (3 1 -1), 2θ = 75.71°, I = 22.8


The following is a simulated X-ray powder pattern of PmNd12Sc7. It was derived from a structure optimized by DFT (GGA-PBE), using Cu Kα.
Neutral-atom scattering factors, no anomalous dispersion.

Crystal structure
```
data_PmNd12Sc7
_cell_length_a 14.9198
_cell_length_b 14.9198
_cell_length_c 9.8015
_cell_angle_alpha 90.00
_cell_angle_beta 90.00
_cell_angle_gamma 120.00
_symmetry_space_group_name_H-M 'R -3'
_symmetry_Int_Tables_number 148
_symmetry_space_group_name_Hall '-R 3'
loop_
_atom_site_label
_atom_site_type_symbol
_atom_site_fract_x
_atom_site_fract_y
_atom_site_fract_z
_atom_site_occupancy
Pm1 Pm 0.0000 0.0000 0.0000 1
Nd1 Nd 0.0397 0.8460 0.2574 1
Nd2 Nd 0.0429 0.7858 0.5830 1
Sc1 Sc 0.0000 0.0000 0.5000 1
Sc2 Sc 0.0716 0.8270 0.9294 1
```

Most intense lines, 15 to 90 degrees two-theta, sorted by position:
(1 2 2), 2θ = 25.75°, I = 23.9; (1 3 1), 2θ = 26.48°, I = 42.3; (4 0 1), 2θ = 29.11°, I = 22.6; (2 -1 3), 2θ = 29.85°, I = 53.1; (3 1 2), 2θ = 30.91°, I = 29.3; (4 1 0), 2θ = 31.74°, I = 100.0; (3 0 3), 2θ = 34.46°, I = 38.2; (4 -2 3), 2θ = 36.56°, I = 36.3; (3 5 1), 2θ = 50.30°, I = 17.9; (2 5 3), 2θ = 52.34°, I = 19.7; (5 1 4), 2θ = 54.49°, I = 15.4; (4 1 6), 2θ = 66.10°, I = 15.5